For Hf4CuSi4, a cell relaxed with GGA-PBE gives the calculated XRD peak list in this record (Cu Kα (λ = 1.5418 Å)).
Kinematic intensities with the Lorentz-polarization factor, no thermal factor.

The 8 most intense peaks (5 to 70 degrees two-theta), sorted by position:
2θ (°)	d [Å]	I/Imax	index
25.6	3.474	33	1 1 0
31.6	2.831	69	1 1 -2
32.1	2.792	59	2 0 -3
34.0	2.634	36	2 0 2
36.0	2.491	97	1 1 2
36.6	2.454	100	3 1 -1
37.0	2.428	41	4 0 -1
48.5	1.877	37	0 2 0

Crystal structure
```
data_Hf4CuSi4
_chemical_formula_sum 'Hf8 Cu2 Si8'
_cell_length_a 9.7328
_cell_length_b 3.7543
_cell_length_c 8.6782
_cell_angle_alpha 90.00
_cell_angle_beta 109.85
_cell_angle_gamma 90.00
_space_group_name_H-M_alt 'C 1 2/m 1'
_space_group_IT_number 12
loop_
_space_group_symop_operation_xyz
'x,y,z'
'-x,-y,-z'
'-x,y,-z'
'x,-y,z'
'x+1/2,y+1/2,z'
'-x+1/2,-y+1/2,-z'
'-x+1/2,y+1/2,-z'
'x+1/2,-y+1/2,z'
loop_
_atom_site_label
_atom_site_fract_x
_atom_site_fract_y
_atom_site_fract_z
Hf1 0.1080 0.0000 0.3807
Hf2 0.2463 0.0000 0.8422
Cu1 0.0000 0.0000 0.0000
Si1 0.0377 0.5000 0.8501
Si2 0.1153 0.5000 0.6136
```


For Lu2Mn12P7, a cell relaxed with GGA-PBE gives the calculated XRD peak list in this record (Cu Kα (λ = 1.5418 Å)).
Kinematic intensities with the Lorentz-polarization factor, no thermal factor.

The 8 most intense peaks (5 to 70 degrees two-theta), sorted by position:
2θ (°)	d [Å]	I/Imax	index
27.3	3.266	14	1 0 1
33.6	2.664	18	3 0 0
39.0	2.308	100	1 2 1
48.3	1.884	11	1 3 1
51.1	1.789	14	0 0 2
52.5	1.744	16	4 1 0
56.4	1.631	10	2 3 1
67.3	1.391	12	4 2 1

Crystal structure
```
data_Lu2Mn12P7
_chemical_formula_sum 'Lu2 Mn12 P7'
_cell_length_a 9.2261
_cell_length_b 9.2261
_cell_length_c 3.5780
_cell_angle_alpha 90.00
_cell_angle_beta 90.00
_cell_angle_gamma 120.00
_space_group_name_H-M_alt 'P -6'
_space_group_IT_number 174
loop_
_space_group_symop_operation_xyz
'x,y,z'
'-x+y,-x,-z'
'-y,x-y,z'
'x,y,-z'
'-x+y,-x,z'
'-y,x-y,-z'
loop_
_atom_site_label
_atom_site_fract_x
_atom_site_fract_y
_atom_site_fract_z
Lu1 0.0000 0.0000 0.0000
Lu2 0.3333 0.6667 0.5000
Mn1 0.0586 0.7697 0.5000
Mn2 0.0945 0.3816 0.0000
Mn3 0.3897 0.2139 0.0000
Mn4 0.5440 0.1116 0.5000
P1 0.0779 0.6208 0.0000
P2 0.2559 0.0506 0.5000
P3 0.6667 0.3333 0.0000
```


For Li2Nb4O11, a cell relaxed with GGA-PBE gives the calculated XRD peak list in this record (Cu Kα (λ = 1.5418 Å)).
Kinematic intensities with the Lorentz-polarization factor, no thermal factor.

The 8 most intense peaks (5 to 70 degrees two-theta), sorted by position:
2θ (°)	d [Å]	I/Imax	index
11.4	7.734	100	2 0 -1
22.5	3.957	31	2 0 1
25.1	3.543	53	1 1 -1
27.7	3.226	28	2 0 -3
27.9	3.196	31	4 0 0
28.9	3.085	31	3 1 -1
30.6	2.922	22	3 1 -2
36.2	2.481	25	4 0 -4

Crystal structure
```
data_Li2Nb4O11
_chemical_formula_sum 'Li4 Nb8 O22'
_cell_length_a 15.9669
_cell_length_b 3.7927
_cell_length_c 9.9311
_cell_angle_alpha 90.00
_cell_angle_beta 126.80
_cell_angle_gamma 90.00
_space_group_name_H-M_alt 'C 1 2/m 1'
_space_group_IT_number 12
loop_
_space_group_symop_operation_xyz
'x,y,z'
'-x,-y,-z'
'-x,y,-z'
'x,-y,z'
'x+1/2,y+1/2,z'
'-x+1/2,-y+1/2,-z'
'-x+1/2,y+1/2,-z'
'x+1/2,-y+1/2,z'
loop_
_atom_site_label
_atom_site_fract_x
_atom_site_fract_y
_atom_site_fract_z
Li1 0.1150 0.0000 0.2593
Nb1 0.1287 0.5000 0.9218
Nb2 0.1522 0.0000 0.6463
O1 0.0000 0.0000 0.5000
O2 0.0103 0.5000 0.1867
O3 0.1530 0.5000 0.7182
O4 0.1641 0.0000 0.9088
O5 0.1760 0.0000 0.4941
O6 0.1836 0.5000 0.1513
```


For CsCu4Se3, a cell relaxed with GGA-PBE gives the calculated XRD peak list in this record (Cu Kα (λ = 1.5418 Å)).
Kinematic intensities with the Lorentz-polarization factor, no thermal factor.

The 8 most intense peaks (5 to 70 degrees two-theta), sorted by position:
2θ (°)	d [Å]	I/Imax	index
8.7	10.148	18	0 0 1
27.9	3.192	100	1 0 2
32.1	2.792	32	1 1 1
41.0	2.203	25	1 1 3
44.1	2.053	46	2 0 0
47.6	1.911	52	1 1 4
53.0	1.727	33	2 1 2
64.1	1.452	14	2 2 0

Crystal structure
```
data_CsCu4Se3
_chemical_formula_sum 'Cs1 Cu4 Se3'
_cell_length_a 4.1069
_cell_length_b 4.1069
_cell_length_c 10.1481
_cell_angle_alpha 90.00
_cell_angle_beta 90.00
_cell_angle_gamma 90.00
_space_group_name_H-M_alt 'P 4/m m m'
_space_group_IT_number 123
_space_group_name_Hall '-P 4 2'
loop_
_atom_site_label
_atom_site_fract_x
_atom_site_fract_y
_atom_site_fract_z
Cs1 0.0000 0.0000 0.0000
Cu1 0.0000 0.5000 0.3486
Se1 0.0000 0.0000 0.5000
Se2 0.5000 0.5000 0.2201
```


For SrLaMgNbZnO6, a cell relaxed with GGA-PBE gives the calculated XRD peak list in this record (Cu Kα (λ = 1.5418 Å)).
Kinematic intensities with the Lorentz-polarization factor, no thermal factor.

The 8 most intense peaks (5 to 70 degrees two-theta), sorted by position:
2θ (°)	d [Å]	I/Imax	index
19.5	4.549	93	0 1 2
24.9	3.583	24	1 0 4
28.2	3.161	44	0 1 5
30.4	2.944	100	1 1 0
35.8	2.506	52	1 0 7
47.7	1.908	37	0 2 7
53.9	1.700	20	3 0 0
57.6	1.601	29	2 1 7

Crystal structure
```
data_SrLaMgNbZnO6
_chemical_formula_sum 'Sr3 La3 Mg3 Nb3 Zn3 O18'
_cell_length_a 5.8885
_cell_length_b 5.8885
_cell_length_c 20.1366
_cell_angle_alpha 90.00
_cell_angle_beta 90.00
_cell_angle_gamma 120.00
_space_group_name_H-M_alt 'R 3 m'
_space_group_IT_number 160
_space_group_name_Hall 'R 3 -2"'
loop_
_atom_site_label
_atom_site_fract_x
_atom_site_fract_y
_atom_site_fract_z
Sr1 0.0000 0.0000 0.0000
La1 0.0000 0.0000 0.4473
Mg1 0.0000 0.0000 0.7195
Nb1 0.0000 0.0000 0.2842
Zn1 0.0000 0.0000 0.8500
O1 0.0009 0.5004 0.5770
O2 0.0342 0.5171 0.0320
```